Starting from a crystal structure in the Materials Project, relaxed with PBE, the powder diffractogram of UB2Ru2 was simulated for Cu Ka.
Lines closer than 0.1° are merged.

Peak list (8 most intense, 5 to 70 degrees two-theta, in order of rising 2θ)
Position (°2θ), I (rel.)
13.78, 27
28.45, 39
34.74, 100
39.38, 27
41.91, 20
42.17, 24
45.03, 17
64.85, 18

Atomic structure:
```
40
Lattice="-3.235 3.235 12.857 3.235 -3.235 12.857 3.235 3.235 -12.857" Properties=species:S:1:pos:R:3 pbc="T T T"
U 0.000 0.000 0.000
U 1.618 1.618 -6.429
U 1.618 -1.618 6.429
U 3.235 0.000 0.000
U -1.618 1.618 6.429
U 0.000 3.235 0.000
U 0.000 0.000 12.857
U 1.618 1.618 6.429
B 3.138 0.734 -2.520
B 2.351 1.521 -3.909
B 4.120 1.715 -3.909
B 0.097 0.734 2.520
B 3.333 2.502 -2.520
B 0.884 1.521 3.909
B -0.884 1.715 3.909
B -0.097 2.502 2.520
B 3.333 0.734 10.337
B 4.120 1.521 8.948
B 2.351 1.715 8.948
B -0.097 0.734 15.377
B 3.138 2.502 10.337
B -0.884 1.521 16.766
B 0.884 1.715 16.766
B 0.097 2.502 15.377
Ru 5.227 1.044 -2.053
Ru 2.662 2.862 -8.481
Ru 2.662 0.374 4.376
Ru 4.479 1.044 2.053
Ru 1.244 2.191 -2.053
Ru 2.662 -0.374 8.481
Ru 2.662 3.609 -4.376
Ru 1.992 2.191 2.053
Ru 1.244 1.044 10.804
Ru 0.573 -0.374 17.233
Ru 0.573 3.609 4.376
Ru 1.992 1.044 14.910
Ru -1.244 2.191 10.804
Ru 0.573 2.862 8.481
Ru 0.573 0.374 21.338
Ru -1.992 2.191 14.910
```